Diffraction record for AcCoSi2Os. The X-ray diffraction stick pattern is computed, not measured: it uses a structure optimized by DFT (PBE) and Cu Kα.

Top 12 peaks for 10° ≤ 2θ ≤ 90°, low angle first:
hkl 1 0 1, 2θ = 23.07°, intensity 66.0; hkl 1 0 3, 2θ = 33.22°, intensity 49.3; hkl 0 0 4, 2θ = 33.57°, intensity 23.3; hkl 1 1 2, 2θ = 35.00°, intensity 100.0; hkl 2 0 0, 2θ = 43.80°, intensity 35.7; hkl 1 0 5, 2θ = 47.95°, intensity 14.1; hkl 2 1 1, 2θ = 50.08°, intensity 18.0; hkl 2 1 3, 2θ = 56.06°, intensity 22.8; hkl 2 0 4, 2θ = 56.29°, intensity 21.8; hkl 1 1 6, 2θ = 60.95°, intensity 24.7; hkl 2 2 0, 2θ = 63.67°, intensity 11.8; hkl 3 1 2, 2θ = 74.77°, intensity 22.4

Cell and atoms:
```
AcCoSi2Os
1.0
4.134 0.000 0.000
0.000 4.134 0.000
0.000 0.000 10.677
Ac Co Si Os
2 2 4 2
Cartesian
0.000 0.000 0.000
2.067 2.067 5.339
0.000 2.067 2.669
2.067 0.000 8.008
0.000 0.000 3.813
0.000 0.000 6.864
2.067 2.067 1.525
2.067 2.067 9.152
0.000 2.067 8.008
2.067 0.000 2.669
```

---

Diffraction record for TmTcH5. The X-ray diffraction stick pattern is computed, not measured: it uses a structure optimized by DFT (PBE) and Cu Kα.

Top 12 peaks for 10° ≤ 2θ ≤ 90°, low angle first:
hkl 1 1 0, 2θ = 21.15°, intensity 13.2; hkl 0 2 0, 2θ = 25.67°, intensity 74.6; hkl 1 0 1, 2θ = 29.57°, intensity 100.0; hkl 2 0 0, 2θ = 33.98°, intensity 36.1; hkl 1 2 1, 2θ = 39.55°, intensity 90.7; hkl 2 2 0, 2θ = 43.07°, intensity 36.0; hkl 0 2 2, 2θ = 56.55°, intensity 16.4; hkl 3 0 1, 2θ = 58.12°, intensity 15.1; hkl 2 0 2, 2θ = 61.38°, intensity 12.3; hkl 1 4 1, 2θ = 61.64°, intensity 24.8; hkl 3 2 1, 2θ = 64.56°, intensity 21.8; hkl 2 2 2, 2θ = 67.64°, intensity 18.6

Cell and atoms:
```
TmTcH5
1.0
5.276 0.000 0.000
0.000 6.941 0.000
0.000 0.000 3.685
Tm Tc H
2 2 10
Cartesian
0.000 0.000 0.000
2.638 3.471 1.843
0.000 3.471 3.585
2.638 0.000 1.742
0.000 1.953 2.876
0.000 3.471 1.784
0.000 4.988 2.876
0.939 0.000 1.828
1.699 3.471 3.670
2.638 0.000 3.626
2.638 1.517 1.033
2.638 5.424 1.033
3.577 3.471 3.670
4.337 0.000 1.828
```